Record 1
The following is a computed powder X-ray diffraction pattern of Ac2PbOF. It was derived from a cell relaxed with GGA-PBE, using CuKα.

Structure:
```
data_Ac2PbOF
_space_group_name_H-M_alt 'I -4 m 2'
_space_group_IT_number 119
_space_group_name_Hall 'I -4 -2'
_cell_length_a 4.210
_cell_length_b 4.210
_cell_length_c 14.477
_cell_angle_alpha 90.00
_cell_angle_beta 90.00
_cell_angle_gamma 90.00
loop_
_atom_site_label
_atom_site_type_symbol
_atom_site_fract_x
_atom_site_fract_y
_atom_site_fract_z
Ac1 Ac 0.000 0.000 0.151
Pb1 Pb 0.000 0.000 0.500
O1 O 0.000 0.500 0.250
F1 F 0.000 0.500 0.750
```

The 6 most intense peaks (2θ = 10–90°), in order of rising 2θ:
- (1 0 3), 2θ = 28.13°, d = 3.172 Å, I = 100
- (1 1 0), 2θ = 30.02°, d = 2.977 Å, I = 40
- (2 0 0), 2θ = 42.97°, d = 2.105 Å, I = 19
- (1 1 6), 2θ = 48.57°, d = 1.874 Å, I = 21
- (2 1 3), 2θ = 52.15°, d = 1.754 Å, I = 38
- (2 0 6), 2θ = 58.16°, d = 1.586 Å, I = 10

Record 2
The following is a computed powder X-ray diffraction pattern of AcSO4F. It was derived from a cell relaxed with GGA-PBE, using CuKα.

Structure:
```
data_AcSO4F
_space_group_name_H-M_alt 'C 1 2/m 1'
_space_group_IT_number 12
_cell_length_a 9.639
_cell_length_b 7.537
_cell_length_c 6.887
_cell_angle_alpha 90.00
_cell_angle_beta 104.50
_cell_angle_gamma 90.00
loop_
_space_group_symop_operation_xyz
'x,y,z'
'-x,-y,-z'
'-x,y,-z'
'x,-y,z'
'x+1/2,y+1/2,z'
'-x+1/2,-y+1/2,-z'
'-x+1/2,y+1/2,-z'
'x+1/2,-y+1/2,z'
loop_
_atom_site_label
_atom_site_type_symbol
_atom_site_fract_x
_atom_site_fract_y
_atom_site_fract_z
Ac1 Ac 0.212 0.000 0.144
S1 S 0.145 0.500 0.264
O1 O 0.008 0.500 0.747
O2 O 0.184 0.341 0.154
O3 O 0.231 0.500 0.473
F1 F 0.029 0.000 0.824
```

The 6 most intense peaks (2θ = 10–90°), in order of rising 2θ:
- (0 0 1), 2θ = 13.28°, d = 6.667 Å, I = 86
- (1 1 -1), 2θ = 18.51°, d = 4.793 Å, I = 100
- (2 0 0), 2θ = 19.02°, d = 4.666 Å, I = 81
- (0 2 0), 2θ = 23.61°, d = 3.768 Å, I = 99
- (1 1 -2), 2θ = 28.65°, d = 3.116 Å, I = 63
- (3 1 -1), 2θ = 30.89°, d = 2.895 Å, I = 56

Record 3
The following is a computed powder X-ray diffraction pattern of Ac2SeO6F. It was derived from a cell relaxed with GGA-PBE, using CuKα.

Structure:
```
data_Ac2SeO6F
_space_group_name_H-M_alt 'P 1'
_space_group_IT_number 1
_cell_length_a 5.615
_cell_length_b 6.178
_cell_length_c 6.475
_cell_angle_alpha 68.71
_cell_angle_beta 65.02
_cell_angle_gamma 64.07
loop_
_space_group_symop_operation_xyz
'x,y,z'
loop_
_atom_site_label
_atom_site_type_symbol
_atom_site_fract_x
_atom_site_fract_y
_atom_site_fract_z
Ac1 Ac 0.000 0.000 0.000
Ac2 Ac 0.451 0.441 0.607
Se1 Se 0.636 0.684 0.038
O1 O 0.284 0.734 0.260
O2 O 0.511 0.649 0.846
O3 O 0.531 0.026 0.916
O4 O 0.707 0.734 0.269
O5 O 0.724 0.360 0.184
O6 O 0.986 0.657 0.854
F1 F 0.124 0.255 0.616
```

The 6 most intense peaks (2θ = 10–90°), in order of rising 2θ:
- (0 1 1), 2θ = 19.94°, d = 4.454 Å, I = 100
- (1 0 1), 2θ = 20.07°, d = 4.424 Å, I = 78
- (1 1 0), 2θ = 20.19°, d = 4.399 Å, I = 60
- (0 1 -1), 2θ = 24.97°, d = 3.566 Å, I = 45
- (1 -1 0), 2θ = 28.71°, d = 3.110 Å, I = 57
- (1 2 1), 2θ = 29.25°, d = 3.053 Å, I = 48

Record 4
The following is a computed powder X-ray diffraction pattern of AcSe2O6F. It was derived from a cell relaxed with GGA-PBE, using CuKα.

Structure:
```
data_AcSe2O6F
_space_group_name_H-M_alt 'C 1 2/c 1'
_space_group_IT_number 15
_cell_length_a 12.684
_cell_length_b 11.073
_cell_length_c 5.654
_cell_angle_alpha 90.00
_cell_angle_beta 107.18
_cell_angle_gamma 90.00
loop_
_space_group_symop_operation_xyz
'x,y,z'
'-x,-y,-z'
'-x,y,-z+1/2'
'x,-y,z+1/2'
'x+1/2,y+1/2,z'
'-x+1/2,-y+1/2,-z'
'-x+1/2,y+1/2,-z+1/2'
'x+1/2,-y+1/2,z+1/2'
loop_
_atom_site_label
_atom_site_type_symbol
_atom_site_fract_x
_atom_site_fract_y
_atom_site_fract_z
Ac1 Ac 0.000 0.154 0.250
Se1 Se 0.178 0.404 0.745
O1 O 0.087 0.305 0.570
O2 O 0.159 0.456 0.114
O3 O 0.194 0.144 0.235
F1 F 0.000 0.060 0.750
```

The 6 most intense peaks (2θ = 10–90°), in order of rising 2θ:
- (1 1 -1), 2θ = 17.79°, d = 4.987 Å, I = 27
- (0 2 1), 2θ = 23.00°, d = 3.866 Å, I = 100
- (3 1 0), 2θ = 23.44°, d = 3.795 Å, I = 58
- (3 1 -1), 2θ = 24.64°, d = 3.613 Å, I = 45
- (0 4 0), 2θ = 32.36°, d = 2.767 Å, I = 26
- (0 0 2), 2θ = 33.17°, d = 2.701 Å, I = 24

Record 5
The following is a computed powder X-ray diffraction pattern of Ac2SiO4F2. It was derived from a cell relaxed with GGA-PBE, using CuKα.

Structure:
```
data_Ac2SiO4F2
_space_group_name_H-M_alt 'I 4/m m m'
_space_group_IT_number 139
_space_group_name_Hall '-I 4 2'
_cell_length_a 5.702
_cell_length_b 5.702
_cell_length_c 7.316
_cell_angle_alpha 90.00
_cell_angle_beta 90.00
_cell_angle_gamma 90.00
loop_
_atom_site_label
_atom_site_type_symbol
_atom_site_fract_x
_atom_site_fract_y
_atom_site_fract_z
Ac1 Ac 0.000 0.500 0.250
Si1 Si 0.000 0.000 0.000
O1 O 0.217 0.217 0.000
F1 F 0.000 0.000 0.255
```

The 6 most intense peaks (2θ = 10–90°), in order of rising 2θ:
- (1 1 0), 2θ = 22.05°, d = 4.032 Å, I = 97
- (0 0 2), 2θ = 24.33°, d = 3.658 Å, I = 42
- (2 0 0), 2θ = 31.38°, d = 2.851 Å, I = 61
- (1 1 2), 2θ = 33.07°, d = 2.709 Å, I = 100
- (2 0 2), 2θ = 40.10°, d = 2.249 Å, I = 83
- (3 1 2), 2θ = 56.94°, d = 1.617 Å, I = 43

Record 6
The following is a computed powder X-ray diffraction pattern of Ac2TlO2F2. It was derived from a cell relaxed with GGA-PBE, using CuKα.

Structure:
```
data_Ac2TlO2F2
_space_group_name_H-M_alt 'P -3 m 1'
_space_group_IT_number 164
_space_group_name_Hall '-P 3 2"'
_cell_length_a 4.1470
_cell_length_b 4.1470
_cell_length_c 11.1189
_cell_angle_alpha 90.00
_cell_angle_beta 90.00
_cell_angle_gamma 120.00
loop_
_atom_site_label
_atom_site_type_symbol
_atom_site_fract_x
_atom_site_fract_y
_atom_site_fract_z
Ac1 Ac 0.3333 0.6667 0.3569
Tl1 Tl 0.0000 0.0000 0.0000
O1 O 0.3333 0.6667 0.5788
F1 F 0.0000 0.0000 0.2589
```

The 6 most intense peaks (2θ = 10–90°), in order of rising 2θ:
- (0 0 3), 2θ = 24.01°, d = 3.706 Å, I = 36
- (0 1 1), 2θ = 26.07°, d = 3.418 Å, I = 100
- (1 0 2), 2θ = 29.61°, d = 3.017 Å, I = 57
- (0 1 4), 2θ = 41.06°, d = 2.198 Å, I = 35
- (1 1 0), 2θ = 43.65°, d = 2.074 Å, I = 32
- (1 1 3), 2θ = 50.43°, d = 1.810 Å, I = 30

Record 7
The following is a computed powder X-ray diffraction pattern of AcPbF5. It was derived from a cell relaxed with GGA-PBE, using CuKα.

Structure:
```
data_AcPbF5
_space_group_name_H-M_alt 'C 1 2/c 1'
_space_group_IT_number 15
_cell_length_a 10.475
_cell_length_b 7.819
_cell_length_c 8.672
_cell_angle_alpha 90.00
_cell_angle_beta 114.31
_cell_angle_gamma 90.00
loop_
_space_group_symop_operation_xyz
'x,y,z'
'-x,-y,-z'
'-x,y,-z+1/2'
'x,-y,z+1/2'
'x+1/2,y+1/2,z'
'-x+1/2,-y+1/2,-z'
'-x+1/2,y+1/2,-z+1/2'
'x+1/2,-y+1/2,z+1/2'
loop_
_atom_site_label
_atom_site_type_symbol
_atom_site_fract_x
_atom_site_fract_y
_atom_site_fract_z
Ac1 Ac 0.000 0.041 0.250
Pb1 Pb 0.000 0.500 0.000
F1 F 0.000 0.358 0.250
F2 F 0.003 0.174 0.965
F3 F 0.247 0.015 0.370
```

The 6 most intense peaks (2θ = 10–90°), in order of rising 2θ:
- (2 0 0), 2θ = 18.59°, d = 4.773 Å, I = 93
- (0 2 0), 2θ = 22.74°, d = 3.910 Å, I = 49
- (1 1 -2), 2θ = 23.46°, d = 3.792 Å, I = 100
- (2 2 0), 2θ = 29.53°, d = 3.025 Å, I = 33
- (3 1 -2), 2θ = 30.10°, d = 2.969 Å, I = 71
- (3 1 2), 2θ = 44.81°, d = 2.023 Å, I = 47

Record 8
The following is a computed powder X-ray diffraction pattern of Ac2PbF. It was derived from a cell relaxed with GGA-PBE, using CuKα.

Structure:
```
data_Ac2PbF
_space_group_name_H-M_alt 'P 1 21/c 1'
_space_group_IT_number 14
_cell_length_a 9.563
_cell_length_b 7.008
_cell_length_c 8.131
_cell_angle_alpha 90.00
_cell_angle_beta 105.12
_cell_angle_gamma 90.00
loop_
_space_group_symop_operation_xyz
'x,y,z'
'-x,-y,-z'
'-x,y+1/2,-z+1/2'
'x,-y+1/2,z+1/2'
loop_
_atom_site_label
_atom_site_type_symbol
_atom_site_fract_x
_atom_site_fract_y
_atom_site_fract_z
Ac1 Ac 0.097 0.221 0.475
Ac2 Ac 0.318 0.671 0.381
Pb1 Pb 0.388 0.151 0.296
F1 F 0.182 0.648 0.065
```

The 6 most intense peaks (2θ = 10–90°), in order of rising 2θ:
- (0 2 0), 2θ = 25.42°, d = 3.504 Å, I = 45
- (1 0 2), 2θ = 26.90°, d = 3.314 Å, I = 87
- (0 2 1), 2θ = 27.88°, d = 3.200 Å, I = 49
- (2 1 -2), 2θ = 28.71°, d = 3.110 Å, I = 100
- (1 2 1), 2θ = 30.53°, d = 2.928 Å, I = 48
- (3 1 0), 2θ = 31.76°, d = 2.818 Å, I = 54